BN: computed X-ray diffraction stick pattern (CuKα), based on a structure optimized by DFT (GGA-PBE).
Neutral-atom scattering factors, no anomalous dispersion.

Cell and atoms:
abc: 4.781 4.781 2.620
angles: 90.00 90.00 90.00
Element x y z (fractional)
B: 0.000 0.000 0.000
B: 0.500 0.500 0.500
N: 0.000 0.000 0.500
N: 0.500 0.500 0.000

Main lines, most intense first (5° ≤ 2θ ≤ 70°):
| 2θ (°) | I_rel | h k l |
| --- | --- | --- |
| 26.4 | 100.0 | 1 1 0 |
| 37.6 | 29.9 | 2 0 0 |
| 61.3 | 9.1 | 3 1 0 |
| 54.3 | 7.3 | 2 2 0 |
| 39.2 | 3.4 | 1 0 1 |
| 55.5 | 1.5 | 2 1 1 |

---

BN: computed X-ray diffraction stick pattern (CuKα), based on a structure optimized by DFT (GGA-PBE).
Neutral-atom scattering factors, no anomalous dispersion.

Cell and atoms:
abc: 3.288 9.431 4.349
angles: 90.00 105.92 90.00
Element x y z (fractional)
B: 0.000 0.066 0.000
B: 0.000 0.934 0.500
B: 0.370 0.306 0.992
B: 0.370 0.694 0.492
B: 0.500 0.434 0.500
B: 0.500 0.566 0.000
B: 0.870 0.194 0.492
B: 0.870 0.806 0.992
N: 0.082 0.196 0.841
N: 0.082 0.804 0.341
N: 0.445 0.434 0.821
N: 0.445 0.566 0.321
N: 0.582 0.304 0.341
N: 0.582 0.696 0.841
N: 0.945 0.066 0.321
N: 0.945 0.934 0.821

Main lines, most intense first (5° ≤ 2θ ≤ 70°):
| 2θ (°) | I_rel | h k l |
| --- | --- | --- |
| 29.8 | 100.0 | 1 1 0 |
| 31.9 | 28.7 | 1 1 -1 |
| 44.1 | 20.6 | 0 4 1 |
| 42.1 | 16.6 | 1 3 -1 |
| 43.3 | 11.7 | 0 0 2 |
| 41.4 | 5.4 | 1 1 1 |
| 46.0 | 5.2 | 1 1 -2 |
| 49.9 | 4.2 | 1 3 1 |

---

BN: computed X-ray diffraction stick pattern (CuKα), based on a structure optimized by DFT (GGA-PBE).
Neutral-atom scattering factors, no anomalous dispersion.

Cell and atoms:
abc: 3.927 4.939 4.942
angles: 90.00 111.96 90.00
Element x y z (fractional)
B: 0.000 0.142 0.142
B: 0.000 0.358 0.642
B: 0.000 0.642 0.358
B: 0.000 0.858 0.858
N: 0.001 0.157 0.844
N: 0.001 0.343 0.344
N: 0.999 0.657 0.656
N: 0.999 0.843 0.156

Main lines, most intense first (5° ≤ 2θ ≤ 70°):
| 2θ (°) | I_rel | h k l |
| --- | --- | --- |
| 24.4 | 100.0 | 1 0 0 |
| 26.5 | 18.0 | 0 1 1 |
| 30.9 | 10.8 | 1 1 -1 |
| 50.1 | 9.7 | 2 0 0 |
| 41.3 | 3.9 | 1 1 1 |
| 36.4 | 2.8 | 0 2 0 |
| 44.3 | 2.7 | 1 2 0 |
| 59.2 | 2.5 | 1 1 -3 |

---

BN: computed X-ray diffraction stick pattern (CuKα), based on a structure optimized by DFT (GGA-PBE).
Neutral-atom scattering factors, no anomalous dispersion.

Cell and atoms:
abc: 2.512 2.512 10.983
angles: 90.00 90.00 120.00
Element x y z (fractional)
B: 0.000 0.000 0.000
B: 0.333 0.667 0.667
B: 0.667 0.333 0.333
N: 0.000 0.000 0.333
N: 0.333 0.667 0.000
N: 0.667 0.333 0.667

Main lines, most intense first (5° ≤ 2θ ≤ 70°):
| 2θ (°) | I_rel | h k l |
| --- | --- | --- |
| 24.3 | 100.0 | 0 0 3 |
| 42.4 | 13.5 | 1 0 1 |
| 44.8 | 10.8 | 0 1 2 |
| 49.8 | 8.0 | 0 0 6 |
| 53.8 | 5.2 | 1 0 4 |
| 59.8 | 3.4 | 0 1 5 |

---

> Number 2 is which compound?

BN